Simulated powder diffraction line list
Compound: CaTb2ReN4
Radiation: copper Kα
Structure: a DFT-relaxed cell (GGA-PBE, Alexandria)

Cell and atoms:
```
data_CaTb2ReN4
_symmetry_space_group_name_H-M 'C m c m'
_symmetry_Int_Tables_number 63
_symmetry_space_group_name_Hall '-C 2c 2'
_cell_length_a 3.414
_cell_length_b 12.031
_cell_length_c 12.181
_cell_angle_alpha 90.00
_cell_angle_beta 90.00
_cell_angle_gamma 90.00
loop_
_atom_site_label
_atom_site_type_symbol
_atom_site_fract_x
_atom_site_fract_y
_atom_site_fract_z
Ca1 Ca 0.000 0.060 0.250
Tb1 Tb 0.000 0.372 0.041
Re1 Re 0.000 0.189 0.750
N1 N 0.000 0.000 0.000
N2 N 0.000 0.262 0.615
N3 N 0.000 0.410 0.250
```

Main lines, by angle (5° ≤ 2θ ≤ 70°):
16.44 deg, rel. 100.0, hkl 0 2 1; 29.33 deg, rel. 54.0, hkl 0 0 4; 30.93 deg, rel. 91.8, hkl 1 1 2; 35.14 deg, rel. 70.5, hkl 1 1 3; 37.62 deg, rel. 99.2, hkl 1 3 2; 39.93 deg, rel. 53.3, hkl 0 2 5

=====

Simulated powder diffraction line list
Compound: Ca2YReN4
Radiation: copper Kα
Structure: a DFT-relaxed cell (GGA-PBE, Alexandria)

Cell and atoms:
```
data_Ca2YReN4
_symmetry_space_group_name_H-M 'P m n 21'
_symmetry_Int_Tables_number 31
_symmetry_space_group_name_Hall 'P 2ac -2'
_cell_length_a 7.693
_cell_length_b 6.697
_cell_length_c 5.051
_cell_angle_alpha 90.00
_cell_angle_beta 90.00
_cell_angle_gamma 90.00
loop_
_atom_site_label
_atom_site_type_symbol
_atom_site_fract_x
_atom_site_fract_y
_atom_site_fract_z
Ca1 Ca 0.243 0.160 0.000
Y1 Y 0.000 0.359 0.496
Re1 Re 0.000 0.670 0.052
N1 N 0.000 0.381 0.003
N2 N 0.000 0.685 0.431
N3 N 0.222 0.786 0.994
```

Main lines, by angle (5° ≤ 2θ ≤ 70°):
13.22 deg, rel. 23.3, hkl 0 1 0; 22.04 deg, rel. 33.6, hkl 0 1 1; 26.73 deg, rel. 35.7, hkl 2 1 0; 32.13 deg, rel. 100.0, hkl 0 2 1; 35.55 deg, rel. 28.3, hkl 0 0 2; 47.07 deg, rel. 23.5, hkl 2 3 0

=====

Simulated powder diffraction line list
Compound: Ca3Ru2N4
Radiation: copper Kα
Structure: a DFT-relaxed cell (GGA-PBE, Alexandria)

Cell and atoms:
```
data_Ca3Ru2N4
_symmetry_space_group_name_H-M 'P n n a'
_symmetry_Int_Tables_number 52
_symmetry_space_group_name_Hall '-P 2a 2bc'
_cell_length_a 5.976
_cell_length_b 10.246
_cell_length_c 8.618
_cell_angle_alpha 90.00
_cell_angle_beta 90.00
_cell_angle_gamma 90.00
loop_
_atom_site_label
_atom_site_type_symbol
_atom_site_fract_x
_atom_site_fract_y
_atom_site_fract_z
Ca1 Ca 0.124 0.154 0.077
Ca2 Ca 0.250 0.000 0.401
Ru1 Ru 0.193 0.250 0.750
Ru2 Ru 0.250 0.000 0.744
N1 N 0.029 0.599 0.316
N2 N 0.083 0.643 0.859
```

Main lines, by angle (5° ≤ 2θ ≤ 70°):
18.06 deg, rel. 100.0, hkl 1 0 1; 20.61 deg, rel. 45.3, hkl 0 0 2; 34.65 deg, rel. 69.8, hkl 1 0 3; 39.69 deg, rel. 40.8, hkl 1 4 1; 40.99 deg, rel. 22.6, hkl 0 4 2; 50.09 deg, rel. 23.1, hkl 1 4 3

=====

Simulated powder diffraction line list
Compound: Ca2RuN3
Radiation: copper Kα
Structure: a DFT-relaxed cell (GGA-PBE, Alexandria)

Cell and atoms:
```
data_Ca2RuN3
_symmetry_space_group_name_H-M 'C m c e'
_symmetry_Int_Tables_number 64
_symmetry_space_group_name_Hall '-C 2ac 2'
_cell_length_a 5.590
_cell_length_b 10.794
_cell_length_c 11.853
_cell_angle_alpha 90.00
_cell_angle_beta 90.00
_cell_angle_gamma 90.00
loop_
_atom_site_label
_atom_site_type_symbol
_atom_site_fract_x
_atom_site_fract_y
_atom_site_fract_z
Ca1 Ca 0.000 0.046 0.143
Ca2 Ca 0.000 0.137 0.577
Ru1 Ru 0.000 0.246 0.343
N1 N 0.000 0.071 0.363
N2 N 0.000 0.154 0.973
N3 N 0.250 0.201 0.750
```

Main lines, by angle (5° ≤ 2θ ≤ 70°):
16.42 deg, rel. 52.8, hkl 0 2 0; 23.38 deg, rel. 60.9, hkl 1 1 2; 32.02 deg, rel. 61.9, hkl 2 0 0; 33.24 deg, rel. 100.0, hkl 1 3 2; 35.27 deg, rel. 40.6, hkl 1 1 4; 57.85 deg, rel. 28.2, hkl 0 4 6

=====

Simulated powder diffraction line list
Compound: Ca7RuN6
Radiation: copper Kα
Structure: a DFT-relaxed cell (GGA-PBE, Alexandria)

Cell and atoms:
```
data_Ca7RuN6
_symmetry_space_group_name_H-M 'P b c n'
_symmetry_Int_Tables_number 60
_symmetry_space_group_name_Hall '-P 2n 2ab'
_cell_length_a 11.035
_cell_length_b 6.256
_cell_length_c 13.298
_cell_angle_alpha 90.00
_cell_angle_beta 90.00
_cell_angle_gamma 90.00
loop_
_atom_site_label
_atom_site_type_symbol
_atom_site_fract_x
_atom_site_fract_y
_atom_site_fract_z
Ca1 Ca 0.000 0.064 0.250
Ca2 Ca 0.037 0.228 0.521
Ca3 Ca 0.208 0.397 0.113
Ca4 Ca 0.224 0.365 0.872
Ru1 Ru 0.000 0.426 0.750
N1 N 0.038 0.397 0.364
N2 N 0.133 0.243 0.704
N3 N 0.167 0.094 0.990
```

Main lines, by angle (5° ≤ 2θ ≤ 70°):
16.29 deg, rel. 29.9, hkl 1 1 0; 21.09 deg, rel. 30.5, hkl 1 1 2; 31.42 deg, rel. 100.0, hkl 2 0 4; 32.45 deg, rel. 34.6, hkl 4 0 0; 35.65 deg, rel. 40.3, hkl 2 2 2; 36.22 deg, rel. 27.5, hkl 4 1 1

=====

Simulated powder diffraction line list
Compound: Ca3U3RuN8
Radiation: copper Kα
Structure: a DFT-relaxed cell (GGA-PBE, Alexandria)

Cell and atoms:
```
data_Ca3U3RuN8
_symmetry_space_group_name_H-M 'R -3 m'
_symmetry_Int_Tables_number 166
_symmetry_space_group_name_Hall '-R 3 2"'
_cell_length_a 6.7453
_cell_length_b 6.7453
_cell_length_c 16.8850
_cell_angle_alpha 90.00
_cell_angle_beta 90.00
_cell_angle_gamma 120.00
loop_
_atom_site_label
_atom_site_type_symbol
_atom_site_fract_x
_atom_site_fract_y
_atom_site_fract_z
Ca1 Ca 0.0000 0.5000 0.0000
U1 U 0.0000 0.5000 0.5000
Ru1 Ru 0.0000 0.0000 0.5000
N1 N 0.0000 0.0000 0.2412
N2 N 0.0034 0.5017 0.7672
```

Main lines, by angle (5° ≤ 2θ ≤ 70°):
15.75 deg, rel. 100.0, hkl 0 0 3; 31.07 deg, rel. 53.3, hkl 0 2 1; 31.80 deg, rel. 27.0, hkl 0 0 6; 32.44 deg, rel. 73.9, hkl 2 0 2; 37.44 deg, rel. 79.7, hkl 0 2 4; 54.41 deg, rel. 26.6, hkl 2 2 0